This entry pairs a crystal structure of Mg2Zn3In2 with its calculated powder diffractogram. Radiation: CuKα. Structure: DFT lattice parameters and positions (PBE).
Peak positions follow from Bragg's law for the DFT cell and can differ from measured ones.

Atomic structure:
```
data_Mg2Zn3In2
_chemical_formula_sum 'Mg8 Zn12 In8'
_cell_length_a 11.362
_cell_length_b 9.278
_cell_length_c 8.014
_cell_angle_alpha 90.00
_cell_angle_beta 134.64
_cell_angle_gamma 90.00
_symmetry_space_group_name_H-M 'C 1 2 1'
_symmetry_Int_Tables_number 5
loop_
_symmetry_equiv_pos_as_xyz
'x,y,z'
'-x,y,-z'
'x+1/2,y+1/2,z'
'-x+1/2,y+1/2,-z'
loop_
_atom_site_label
_atom_site_type_symbol
_atom_site_fract_x
_atom_site_fract_y
_atom_site_fract_z
Mg1 Mg 0.199 0.000 0.279
Mg2 Mg 0.203 0.832 0.623
Zn1 Zn 0.000 0.055 0.500
Zn2 Zn 0.000 0.774 0.000
Zn3 Zn 0.133 0.916 0.883
Zn4 Zn 0.248 0.168 0.626
In1 In 0.057 0.585 0.768
In2 In 0.061 0.244 0.848
```

The 6 most intense peaks (10° ≤ 2θ ≤ 80°), sorted by position:
- 24.76°, I 33.7
- 26.62°, I 37.7
- 30.96°, I 33.9
- 35.14°, I 52.6
- 38.36°, I 100.0
- 38.44°, I 46.3

This entry pairs a crystal structure of La3Tb4Ho5 with its calculated powder diffractogram. Radiation: CuKα. Structure: DFT lattice parameters and positions (PBE).
Peak positions follow from Bragg's law for the DFT cell and can differ from measured ones.

Atomic structure:
```
data_La3Tb4Ho5
_chemical_formula_sum 'La3 Tb4 Ho5'
_cell_length_a 6.222
_cell_length_b 7.179
_cell_length_c 8.815
_cell_angle_alpha 89.79
_cell_angle_beta 89.79
_cell_angle_gamma 89.88
_symmetry_space_group_name_H-M 'P -1'
_symmetry_Int_Tables_number 2
loop_
_symmetry_equiv_pos_as_xyz
'x,y,z'
'-x,-y,-z'
loop_
_atom_site_label
_atom_site_type_symbol
_atom_site_fract_x
_atom_site_fract_y
_atom_site_fract_z
La1 La 0.000 0.000 0.000
La2 La 0.167 0.251 0.333
Tb1 Tb 0.171 0.749 0.332
Tb2 Tb 0.333 0.499 0.669
Ho1 Ho 0.000 0.500 0.000
Ho2 Ho 0.336 0.000 0.668
Ho3 Ho 0.498 0.748 0.000
```

The 6 most intense peaks (10° ≤ 2θ ≤ 80°), sorted by position:
- 30.45°, I 100.0
- 30.53°, I 33.1
- 35.25°, I 22.6
- 35.36°, I 44.8
- 50.88°, I 24.0
- 60.51°, I 28.5

This entry pairs a crystal structure of ThMg2Pd2 with its calculated powder diffractogram. Radiation: CuKα. Structure: DFT lattice parameters and positions (PBE).
Peak positions follow from Bragg's law for the DFT cell and can differ from measured ones.

Atomic structure:
```
data_ThMg2Pd2
_chemical_formula_sum 'Th2 Mg4 Pd4'
_cell_length_a 5.472
_cell_length_b 4.741
_cell_length_c 8.262
_cell_angle_alpha 90.00
_cell_angle_beta 97.24
_cell_angle_gamma 90.00
_symmetry_space_group_name_H-M 'P 1 21/m 1'
_symmetry_Int_Tables_number 11
loop_
_symmetry_equiv_pos_as_xyz
'x,y,z'
'-x,-y,-z'
'-x,y+1/2,-z'
'x,-y+1/2,z'
loop_
_atom_site_label
_atom_site_type_symbol
_atom_site_fract_x
_atom_site_fract_y
_atom_site_fract_z
Th1 Th 0.133 0.250 0.308
Mg1 Mg 0.364 0.250 0.700
Mg2 Mg 0.364 0.750 0.949
Pd1 Pd 0.107 0.250 0.947
Pd2 Pd 0.329 0.750 0.535
```

The 6 most intense peaks (10° ≤ 2θ ≤ 80°), sorted by position:
- 21.66°, I 72.0
- 28.80°, I 59.7
- 34.66°, I 79.8
- 37.96°, I 70.3
- 38.21°, I 93.5
- 39.85°, I 100.0

This entry pairs a crystal structure of Pm8In2Hg with its calculated powder diffractogram. Radiation: CuKα. Structure: DFT lattice parameters and positions (PBE).
Peak positions follow from Bragg's law for the DFT cell and can differ from measured ones.

Atomic structure:
```
data_Pm8In2Hg
_chemical_formula_sum 'Pm16 In4 Hg2'
_cell_length_a 19.180
_cell_length_b 5.345
_cell_length_c 6.995
_cell_angle_alpha 90.00
_cell_angle_beta 103.74
_cell_angle_gamma 90.00
_symmetry_space_group_name_H-M 'C 1 2/m 1'
_symmetry_Int_Tables_number 12
loop_
_symmetry_equiv_pos_as_xyz
'x,y,z'
'-x,-y,-z'
'-x,y,-z'
'x,-y,z'
'x+1/2,y+1/2,z'
'-x+1/2,-y+1/2,-z'
'-x+1/2,y+1/2,-z'
'x+1/2,-y+1/2,z'
loop_
_atom_site_label
_atom_site_type_symbol
_atom_site_fract_x
_atom_site_fract_y
_atom_site_fract_z
Pm1 Pm 0.015 0.000 0.264
Pm2 Pm 0.094 0.500 0.967
Pm3 Pm 0.158 0.500 0.471
Pm4 Pm 0.206 0.000 0.798
In1 In 0.184 0.000 0.239
Hg1 Hg 0.000 0.500 0.500
```

The 6 most intense peaks (10° ≤ 2θ ≤ 80°), sorted by position:
- 29.22°, I 66.1
- 29.62°, I 46.7
- 30.58°, I 99.5
- 32.53°, I 90.8
- 33.53°, I 100.0
- 35.47°, I 47.4

This entry pairs a crystal structure of AcSi2Tc4 with its calculated powder diffractogram. Radiation: CuKα. Structure: DFT lattice parameters and positions (PBE).
Peak positions follow from Bragg's law for the DFT cell and can differ from measured ones.

Atomic structure:
```
data_AcSi2Tc4
_chemical_formula_sum 'Ac2 Si4 Tc8'
_cell_length_a 4.210
_cell_length_b 14.196
_cell_length_c 4.197
_cell_angle_alpha 90.00
_cell_angle_beta 90.00
_cell_angle_gamma 90.00
_symmetry_space_group_name_H-M 'C m m m'
_symmetry_Int_Tables_number 65
_symmetry_space_group_name_Hall '-C 2 2'
loop_
_atom_site_label
_atom_site_type_symbol
_atom_site_fract_x
_atom_site_fract_y
_atom_site_fract_z
Ac1 Ac 0.000 0.000 0.000
Si1 Si 0.000 0.404 0.500
Tc1 Tc 0.000 0.193 0.500
Tc2 Tc 0.000 0.302 0.000
```

The 6 most intense peaks (10° ≤ 2θ ≤ 80°), sorted by position:
- 22.02°, I 17.1
- 33.05°, I 16.8
- 35.67°, I 100.0
- 42.97°, I 22.7
- 43.11°, I 22.5
- 54.80°, I 21.4

This entry pairs a crystal structure of Nd3Mg7Pd4 with its calculated powder diffractogram. Radiation: CuKα. Structure: DFT lattice parameters and positions (PBE).
Peak positions follow from Bragg's law for the DFT cell and can differ from measured ones.

Atomic structure:
```
data_Nd3Mg7Pd4
_chemical_formula_sum 'Nd6 Mg14 Pd8'
_cell_length_a 16.133
_cell_length_b 4.465
_cell_length_c 10.462
_cell_angle_alpha 90.00
_cell_angle_beta 124.24
_cell_angle_gamma 90.00
_symmetry_space_group_name_H-M 'C 1 2/m 1'
_symmetry_Int_Tables_number 12
loop_
_symmetry_equiv_pos_as_xyz
'x,y,z'
'-x,-y,-z'
'-x,y,-z'
'x,-y,z'
'x+1/2,y+1/2,z'
'-x+1/2,-y+1/2,-z'
'-x+1/2,y+1/2,-z'
'x+1/2,-y+1/2,z'
loop_
_atom_site_label
_atom_site_type_symbol
_atom_site_fract_x
_atom_site_fract_y
_atom_site_fract_z
Nd1 Nd 0.000 0.000 0.000
Nd2 Nd 0.196 0.500 0.712
Mg1 Mg 0.000 0.000 0.500
Mg2 Mg 0.014 0.500 0.299
Mg3 Mg 0.166 0.000 0.429
Mg4 Mg 0.180 0.500 0.014
Pd1 Pd 0.107 0.000 0.823
Pd2 Pd 0.165 0.500 0.264
```

The 6 most intense peaks (10° ≤ 2θ ≤ 80°), sorted by position:
- 20.54°, I 36.4
- 28.33°, I 51.4
- 32.12°, I 45.1
- 32.69°, I 56.2
- 34.35°, I 100.0
- 40.40°, I 45.9